1.
For Tb4YNi10B10C5, a crystal structure in the Materials Project, relaxed with GGA-PBE gives the theoretical powder diffraction line list in this record (CuKα).
No peak broadening, texture or thermal motion is included.

Crystal structure
```
30
Lattice="-1.777 1.777 26.195 1.777 -1.777 26.195 1.777 1.777 -26.195" Properties=species:S:1:pos:R:3 pbc="T T T"
Tb 0.000 0.000 5.239
Tb 0.000 0.000 15.719
Tb 0.000 0.000 36.672
Tb 0.000 0.000 47.152
Y 0.000 0.000 26.195
Ni 1.777 0.000 2.620
Ni 1.777 0.000 7.859
Ni 1.777 0.000 13.098
Ni 1.777 0.000 18.336
Ni 1.777 0.000 23.576
Ni 0.000 1.777 2.620
Ni 0.000 1.777 7.859
Ni 0.000 1.777 13.098
Ni 0.000 1.777 18.336
Ni 0.000 1.777 23.576
B 0.000 0.000 1.494
B 0.000 0.000 8.984
B 0.000 0.000 11.973
B 0.000 0.000 19.462
B 0.000 0.000 22.448
B 0.000 0.000 29.943
B 0.000 0.000 32.928
B 0.000 0.000 40.417
B 0.000 0.000 43.406
B 0.000 0.000 50.897
C 0.000 0.000 0.000
C 0.000 0.000 10.478
C 0.000 0.000 20.954
C 0.000 0.000 31.436
C 0.000 0.000 41.913
```

Principal peaks in the range 2θ from 10° to 90°, most intense first:
2theta  I_rel
39.78  100
26.48  54
36.06  36
34.23  35
51.43  26
65.04  24
63.24  23
89.11  19
64.41  13
58.76  13

***

2.
For U2PbS5, a crystal structure in the Materials Project, relaxed with GGA-PBE gives the theoretical powder diffraction line list in this record (CuKα).
No peak broadening, texture or thermal motion is included.

Crystal structure
```
32
Lattice="8.247 0.000 0.000 0.000 7.454 0.000 -0.038 0.000 11.692" Properties=species:S:1:pos:R:3 pbc="T T T"
U 0.003 0.146 3.715
U -0.016 3.581 9.561
U 1.990 4.289 5.761
U 1.970 6.891 11.607
U 6.238 0.562 0.085
U 6.219 3.164 5.931
U 8.224 3.873 2.131
U 8.205 7.308 7.977
Pb 4.040 3.830 2.065
Pb 4.021 7.350 7.911
Pb 4.188 0.103 3.781
Pb 4.169 3.624 9.627
S 0.386 1.219 1.142
S 0.367 2.508 6.988
S 1.742 4.074 11.678
S 1.762 7.106 5.832
S 1.777 1.221 9.536
S 1.796 2.506 3.690
S 1.860 5.182 8.386
S 1.879 5.998 2.540
S 3.805 1.190 1.007
S 3.786 2.537 6.853
S 4.423 4.917 4.839
S 4.404 6.263 10.685
S 6.330 1.456 9.152
S 6.349 2.271 3.306
S 6.412 4.948 8.002
S 6.432 6.233 2.156
S 6.447 0.347 5.860
S 6.466 3.379 0.014
S 7.842 4.945 4.704
S 7.823 6.235 10.550
```

Principal peaks in the range 2θ from 10° to 90°, most intense first:
2theta  I_rel
25.82  100
26.45  36
35.93  35
23.88  29
43.19  15
46.20  14
43.92  13
33.86  13
51.54  13
46.33  12